# CaLaFeAgO6
Theoretical X-ray powder pattern, Cu Kα X-rays. Input: DFT lattice parameters and positions (PBE+U).

Cell and atoms:
```
CaLaFeAgO6
1.0
5.583 0.000 0.000
0.000 5.832 0.000
-5.539 0.000 7.818
Ca La Fe Ag O
2 2 2 2 12
direct
0.000 0.186 0.000
0.000 0.814 0.500
0.532 0.309 0.502
0.532 0.691 0.002
0.767 0.247 0.250
0.767 0.753 0.750
0.268 0.249 0.752
0.268 0.751 0.252
0.001 0.432 0.201
0.001 0.568 0.701
0.108 0.214 0.496
0.108 0.786 0.996
0.417 0.281 0.006
0.417 0.719 0.506
0.534 0.063 0.299
0.534 0.937 0.799
0.629 0.458 0.803
0.629 0.542 0.303
0.910 0.041 0.702
0.910 0.959 0.202
```

The 10 most intense peaks (2θ from 10° to 80°), sorted by position:
index	2theta	d [Å]	Rel. int.
0 1 1	18.98	4.675	36
0 2 0	30.66	2.916	46
1 1 1	31.82	2.813	100
1 1 -3	31.95	2.801	97
2 0 -2	32.06	2.791	47
2 2 -2	44.95	2.016	48
0 0 4	46.48	1.954	40
1 3 -3	55.28	1.662	24
3 1 -1	56.91	1.618	23
3 1 -5	57.17	1.611	24